Entry 1:
Starting from a DFT-relaxed cell (GGA-PBE, Alexandria), the powder XRD pattern of Cs2Rb3Ag2 was calculated for Cu Kα, 1.54184 Å.
Peak positions follow from Bragg's law for the DFT cell and can differ from measured ones.

Most intense lines, 2θ = 5–70°, by intensity:
- hkl 1 2 0, 2θ = 23.5°, I 100.0
- hkl 1 1 2, 2θ = 24.2°, I 78.6
- hkl 0 0 1, 2θ = 8.5°, I 73.0
- hkl 0 1 -2, 2θ = 21.7°, I 53.3
- hkl 2 1 0, 2θ = 34.6°, I 51.6
- hkl 0 1 0, 2θ = 10.7°, I 46.1
- hkl 1 2 1, 2θ = 24.1°, I 45.0
- hkl 0 1 3, 2θ = 26.2°, I 36.9
- hkl -1 1 2, 2θ = 27.6°, I 36.7
- hkl 1 1 -3, 2θ = 32.4°, I 33.2

Crystal structure
```
data_Cs2Rb3Ag2
_space_group_name_H-M_alt 'P -1'
_space_group_IT_number 2
_space_group_name_Hall '-P 1'
_cell_length_a 5.188
_cell_length_b 8.786
_cell_length_c 10.507
_cell_angle_alpha 80.73
_cell_angle_beta 89.96
_cell_angle_gamma 72.89
loop_
_atom_site_label
_atom_site_type_symbol
_atom_site_fract_x
_atom_site_fract_y
_atom_site_fract_z
Cs1 Cs 0.110 0.278 0.386
Rb1 Rb 0.180 0.140 0.817
Rb2 Rb 0.500 0.500 0.000
Ag1 Ag 0.447 0.606 0.376
```

=====

Entry 2:
Starting from a DFT-relaxed cell (GGA-PBE, Alexandria), the powder XRD pattern of Cs4Rb3Ag2 was calculated for Cu Kα, 1.54184 Å.
Peak positions follow from Bragg's law for the DFT cell and can differ from measured ones.

Most intense lines, 2θ = 5–70°, by intensity:
- hkl 2 0 0, 2θ = 7.4°, I 100.0
- hkl 2 2 -2, 2θ = 24.4°, I 73.0
- hkl 5 1 0, 2θ = 20.0°, I 38.3
- hkl 2 0 2, 2θ = 21.9°, I 37.7
- hkl 1 3 -1, 2θ = 24.3°, I 36.3
- hkl 6 0 -2, 2θ = 26.7°, I 34.5
- hkl 4 2 0, 2θ = 21.0°, I 34.0
- hkl 1 3 0, 2θ = 22.6°, I 33.2
- hkl 1 3 1, 2θ = 24.9°, I 31.4
- hkl 4 2 2, 2θ = 30.5°, I 29.0

Crystal structure
```
data_Cs4Rb3Ag2
_space_group_name_H-M_alt 'C 1 2/c 1'
_space_group_IT_number 15
_space_group_name_Hall '-C 2yc'
_cell_length_a 24.366
_cell_length_b 11.979
_cell_length_c 9.379
_cell_angle_alpha 90.00
_cell_angle_beta 100.56
_cell_angle_gamma 90.00
loop_
_atom_site_label
_atom_site_type_symbol
_atom_site_fract_x
_atom_site_fract_y
_atom_site_fract_z
Cs1 Cs 0.121 0.207 0.098
Cs2 Cs 0.226 0.454 0.492
Rb1 Rb 0.000 0.492 0.250
Rb2 Rb 0.088 0.181 0.605
Ag1 Ag 0.227 0.239 0.846
```

=====

Entry 3:
Starting from a DFT-relaxed cell (GGA-PBE, Alexandria), the powder XRD pattern of Cs9Rb6Ag was calculated for Cu Kα, 1.54184 Å.
Peak positions follow from Bragg's law for the DFT cell and can differ from measured ones.

Most intense lines, 2θ = 5–70°, by intensity:
- hkl 1 2 3, 2θ = 20.6°, I 100.0
- hkl 3 1 0, 2θ = 23.5°, I 46.9
- hkl 3 1 6, 2θ = 34.1°, I 36.0
- hkl 5 0 3, 2θ = 39.6°, I 34.2
- hkl 0 0 6, 2θ = 24.4°, I 21.1
- hkl 2 4 6, 2θ = 41.8°, I 19.6
- hkl 2 4 0, 2θ = 33.4°, I 18.4
- hkl 1 2 9, 2θ = 40.8°, I 16.5
- hkl 5 0 9, 2θ = 53.7°, I 13.2
- hkl 5 5 6, 2θ = 60.2°, I 12.1

Crystal structure
```
data_Cs9Rb6Ag
_space_group_name_H-M_alt 'I 4/m'
_space_group_IT_number 87
_space_group_name_Hall '-I 4'
_cell_length_a 11.985
_cell_length_b 11.985
_cell_length_c 21.861
_cell_angle_alpha 90.00
_cell_angle_beta 90.00
_cell_angle_gamma 90.00
loop_
_atom_site_label
_atom_site_type_symbol
_atom_site_fract_x
_atom_site_fract_y
_atom_site_fract_z
Cs1 Cs 0.000 0.000 0.000
Cs2 Cs 0.109 0.696 0.161
Rb1 Rb 0.000 0.000 0.335
Rb2 Rb 0.091 0.712 0.500
Ag1 Ag 0.000 0.000 0.500
```

=====

Entry 4:
Starting from a DFT-relaxed cell (GGA-PBE, Alexandria), the powder XRD pattern of Cs3Rb3Ag2 was calculated for Cu Kα, 1.54184 Å.
Peak positions follow from Bragg's law for the DFT cell and can differ from measured ones.

Most intense lines, 2θ = 5–70°, by intensity:
- hkl 0 0 1, 2θ = 6.5°, I 100.0
- hkl 0 2 -2, 2θ = 24.5°, I 60.1
- hkl 1 1 3, 2θ = 26.0°, I 57.5
- hkl 1 1 0, 2θ = 20.5°, I 49.3
- hkl 1 -1 2, 2θ = 22.6°, I 49.1
- hkl 1 3 1, 2θ = 35.6°, I 45.2
- hkl 0 1 0, 2θ = 10.1°, I 38.0
- hkl 0 2 1, 2θ = 21.2°, I 37.8
- hkl 2 0 1, 2θ = 35.3°, I 30.1
- hkl 1 1 -3, 2θ = 30.9°, I 29.2

Crystal structure
```
data_Cs3Rb3Ag2
_space_group_name_H-M_alt 'P -1'
_space_group_IT_number 2
_space_group_name_Hall '-P 1'
_cell_length_a 5.089
_cell_length_b 8.741
_cell_length_c 13.779
_cell_angle_alpha 88.81
_cell_angle_beta 79.51
_cell_angle_gamma 89.99
loop_
_atom_site_label
_atom_site_type_symbol
_atom_site_fract_x
_atom_site_fract_y
_atom_site_fract_z
Cs1 Cs 0.000 0.000 0.000
Cs2 Cs 0.181 0.690 0.643
Rb1 Rb 0.345 0.821 0.307
Rb2 Rb 0.500 0.500 0.000
Ag1 Ag 0.245 0.072 0.511
```

=====

Entry 5:
Starting from a DFT-relaxed cell (GGA-PBE, Alexandria), the powder XRD pattern of Cs5RbAg was calculated for Cu Kα, 1.54184 Å.
Peak positions follow from Bragg's law for the DFT cell and can differ from measured ones.

Most intense lines, 2θ = 5–70°, by intensity:
- hkl 4 0 -2, 2θ = 20.4°, I 100.0
- hkl 2 0 -4, 2θ = 22.2°, I 59.3
- hkl 2 0 2, 2θ = 19.9°, I 45.1
- hkl 4 2 0, 2θ = 28.4°, I 31.3
- hkl 2 2 -2, 2θ = 21.2°, I 24.6
- hkl 0 2 4, 2θ = 30.1°, I 23.6
- hkl 0 2 2, 2θ = 21.0°, I 23.2
- hkl 4 2 -4, 2θ = 30.6°, I 22.5
- hkl 1 1 0, 2θ = 10.2°, I 20.3
- hkl 2 2 4, 2θ = 35.9°, I 19.4

Crystal structure
```
data_Cs5RbAg
_space_group_name_H-M_alt 'C 1 2/c 1'
_space_group_IT_number 15
_space_group_name_Hall '-C 2yc'
_cell_length_a 17.501
_cell_length_b 10.442
_cell_length_c 16.034
_cell_angle_alpha 90.00
_cell_angle_beta 115.68
_cell_angle_gamma 90.00
loop_
_atom_site_label
_atom_site_type_symbol
_atom_site_fract_x
_atom_site_fract_y
_atom_site_fract_z
Cs1 Cs 0.000 0.011 0.250
Cs2 Cs 0.140 0.284 0.057
Cs3 Cs 0.183 0.217 0.605
Rb1 Rb 0.000 0.499 0.250
Ag1 Ag 0.000 0.000 0.000
```

=====

Entry 6:
Starting from a DFT-relaxed cell (GGA-PBE, Alexandria), the powder XRD pattern of Cs5Rb4Ag2 was calculated for Cu Kα, 1.54184 Å.
Peak positions follow from Bragg's law for the DFT cell and can differ from measured ones.

Most intense lines, 2θ = 5–70°, by intensity:
- hkl 2 0 0, 2θ = 5.6°, I 100.0
- hkl 1 1 2, 2θ = 23.6°, I 80.0
- hkl 7 1 1, 2θ = 27.5°, I 65.0
- hkl 2 0 -3, 2θ = 24.6°, I 54.0
- hkl 10 0 1, 2θ = 29.9°, I 53.1
- hkl 3 1 -1, 2θ = 20.3°, I 51.4
- hkl 4 0 2, 2θ = 20.1°, I 48.5
- hkl 6 0 -2, 2θ = 22.8°, I 48.2
- hkl 3 1 1, 2θ = 20.6°, I 43.8
- hkl 0 2 0, 2θ = 33.9°, I 42.1

Crystal structure
```
data_Cs5Rb4Ag2
_space_group_name_H-M_alt 'C 1 2/m 1'
_space_group_IT_number 12
_space_group_name_Hall '-C 2y'
_cell_length_a 31.567
_cell_length_b 5.295
_cell_length_c 11.033
_cell_angle_alpha 90.00
_cell_angle_beta 93.01
_cell_angle_gamma 90.00
loop_
_atom_site_label
_atom_site_type_symbol
_atom_site_fract_x
_atom_site_fract_y
_atom_site_fract_z
Cs1 Cs 0.000 0.000 0.000
Cs2 Cs 0.107 0.500 0.773
Cs3 Cs 0.202 0.500 0.117
Rb1 Rb 0.062 0.500 0.353
Rb2 Rb 0.193 0.000 0.512
Ag1 Ag 0.226 0.500 0.740
```

=====

Entry 7:
Starting from a DFT-relaxed cell (GGA-PBE, Alexandria), the powder XRD pattern of Cs8Rb2Ag was calculated for Cu Kα, 1.54184 Å.
Peak positions follow from Bragg's law for the DFT cell and can differ from measured ones.

Most intense lines, 2θ = 5–70°, by intensity:
- hkl 4 0 0, 2θ = 20.9°, I 100.0
- hkl 2 2 1, 2θ = 20.3°, I 71.6
- hkl 3 1 -2, 2θ = 21.8°, I 70.8
- hkl 2 2 -1, 2θ = 17.9°, I 50.5
- hkl 1 3 -3, 2θ = 33.1°, I 33.6
- hkl 3 5 -2, 2θ = 39.9°, I 24.7
- hkl 5 1 2, 2θ = 35.9°, I 23.9
- hkl 3 3 0, 2θ = 25.5°, I 23.7
- hkl 0 2 0, 2θ = 13.3°, I 23.7
- hkl 2 0 -4, 2θ = 35.1°, I 20.8

Crystal structure
```
data_Cs8Rb2Ag
_space_group_name_H-M_alt 'C 1 2/m 1'
_space_group_IT_number 12
_space_group_name_Hall '-C 2y'
_cell_length_a 17.567
_cell_length_b 13.317
_cell_length_c 10.237
_cell_angle_alpha 90.00
_cell_angle_beta 103.84
_cell_angle_gamma 90.00
loop_
_atom_site_label
_atom_site_type_symbol
_atom_site_fract_x
_atom_site_fract_y
_atom_site_fract_z
Cs1 Cs 0.116 0.000 0.227
Cs2 Cs 0.121 0.500 0.407
Cs3 Cs 0.132 0.189 0.716
Rb1 Rb 0.134 0.500 0.953
Ag1 Ag 0.000 0.000 0.500
```

=====

Entry 8:
Starting from a DFT-relaxed cell (GGA-PBE, Alexandria), the powder XRD pattern of CsRb12Ag6 was calculated for Cu Kα, 1.54184 Å.
Peak positions follow from Bragg's law for the DFT cell and can differ from measured ones.

Most intense lines, 2θ = 5–70°, by intensity:
- hkl 3 2 1, 2θ = 25.1°, I 100.0
- hkl 4 1 3, 2θ = 34.4°, I 62.8
- hkl 2 0 0, 2θ = 13.3°, I 41.1
- hkl 2 2 2, 2θ = 23.2°, I 26.8
- hkl 5 0 3, 2θ = 39.6°, I 21.1
- hkl 1 1 0, 2θ = 9.4°, I 19.3
- hkl 8 1 3, 2θ = 59.9°, I 18.3
- hkl 6 0 0, 2θ = 40.8°, I 17.6
- hkl 6 3 5, 2θ = 58.1°, I 17.2
- hkl 5 3 4, 2θ = 48.5°, I 16.8

Crystal structure
```
data_CsRb12Ag6
_space_group_name_H-M_alt 'I m -3'
_space_group_IT_number 204
_space_group_name_Hall '-I 2 2 3'
_cell_length_a 13.281
_cell_length_b 13.281
_cell_length_c 13.281
_cell_angle_alpha 90.00
_cell_angle_beta 90.00
_cell_angle_gamma 90.00
loop_
_atom_site_label
_atom_site_type_symbol
_atom_site_fract_x
_atom_site_fract_y
_atom_site_fract_z
Cs1 Cs 0.000 0.000 0.000
Rb1 Rb 0.000 0.186 0.325
Ag1 Ag 0.000 0.393 0.500
```